[1]
Diffraction record for K2VAgSe4. The PXRD pattern is simulated, not measured: it uses a structure optimized by DFT (PBE) and CuKα.
Kinematic intensities with the Lorentz-polarization factor, no thermal factor.

The 10 most intense peaks (2θ = 10–90°), by angle:
15.02 deg, d 5.899, intensity 100
24.85 deg, d 3.583, intensity 24
26.18 deg, d 3.404, intensity 18
27.06 deg, d 3.295, intensity 87
31.10 deg, d 2.876, intensity 31
37.62 deg, d 2.391, intensity 32
40.46 deg, d 2.229, intensity 22
40.68 deg, d 2.218, intensity 27
49.07 deg, d 1.856, intensity 18
50.26 deg, d 1.815, intensity 18

Cell: 6.028 13.643 23.565 Å, 90.00 90.00 90.00°
Space group Fddd (No. 70, origin choice 2)
Inequivalent atoms, fractional coordinates:
K (0.125, 0.125, 0.307) (multiplicity 16)
V (0.125, 0.125, 0.125) (multiplicity 8)
Ag (0.125, 0.125, 0.625) (multiplicity 8)
Se (0.082, 0.273, 0.433) (multiplicity 32)

[2]
Diffraction record for Rb2LuAgCl6. The PXRD pattern is simulated, not measured: it uses a structure optimized by DFT (PBE) and CuKα.
Kinematic intensities with the Lorentz-polarization factor, no thermal factor.

The 10 most intense peaks (2θ = 10–90°), by angle:
16.62 deg, d 5.333, intensity 28
23.59 deg, d 3.771, intensity 100
33.61 deg, d 2.666, intensity 62
37.72 deg, d 2.385, intensity 13
41.48 deg, d 2.177, intensity 46
48.27 deg, d 1.885, intensity 42
54.41 deg, d 1.686, intensity 21
60.10 deg, d 1.539, intensity 14
65.49 deg, d 1.425, intensity 24
80.56 deg, d 1.192, intensity 18

Cell: 10.665 10.665 10.665 Å, 90.00 90.00 90.00°
Space group Fm-3m (No. 225)
Inequivalent atoms, fractional coordinates:
Rb (0.250, 0.250, 0.250) (multiplicity 8)
Lu (0.000, 0.000, 0.000) (multiplicity 4)
Ag (0.000, 0.000, 0.500) (multiplicity 4)
Cl (0.000, 0.000, 0.242) (multiplicity 24)

[3]
Diffraction record for Ba6EuCl2F12. The PXRD pattern is simulated, not measured: it uses a structure optimized by DFT (PBE) and CuKα.
Kinematic intensities with the Lorentz-polarization factor, no thermal factor.

The 10 most intense peaks (2θ = 10–90°), by angle:
23.18 deg, d 3.837, intensity 28
25.46 deg, d 3.498, intensity 100
26.94 deg, d 3.310, intensity 55
28.64 deg, d 3.117, intensity 46
33.28 deg, d 2.692, intensity 42
41.17 deg, d 2.193, intensity 42
42.90 deg, d 2.108, intensity 22
44.88 deg, d 2.020, intensity 31
47.97 deg, d 1.896, intensity 37
50.55 deg, d 1.806, intensity 32

Cell: 10.6874 10.6874 4.2162 Å, 90.00 90.00 120.00°
Space group P-6 (No. 174)
Inequivalent atoms, fractional coordinates:
Ba (0.0483, 0.7782, 0.0000) (multiplicity 3)
Ba (0.4421, 0.0734, 0.5000) (multiplicity 3)
Eu (0.3333, 0.6667, 0.5000) (multiplicity 1)
Cl (0.0000, 0.0000, 0.5000) (multiplicity 1)
Cl (0.6667, 0.3333, 0.0000) (multiplicity 1)
F (0.1249, 0.5713, 0.0000) (multiplicity 3)
F (0.1882, 0.4059, 0.5000) (multiplicity 3)
F (0.2821, 0.0525, 0.0000) (multiplicity 3)
F (0.3961, 0.2985, 0.5000) (multiplicity 3)

[4]
Diffraction record for U2Cu2As3O. The PXRD pattern is simulated, not measured: it uses a structure optimized by DFT (PBE) and CuKα.
Kinematic intensities with the Lorentz-polarization factor, no thermal factor.

The 10 most intense peaks (2θ = 10–90°), by angle:
24.84 deg, d 3.585, intensity 64
30.30 deg, d 2.950, intensity 64
32.39 deg, d 2.764, intensity 33
33.87 deg, d 2.646, intensity 64
35.78 deg, d 2.510, intensity 40
38.22 deg, d 2.355, intensity 100
46.46 deg, d 1.954, intensity 62
51.36 deg, d 1.779, intensity 26
58.73 deg, d 1.572, intensity 25
67.80 deg, d 1.382, intensity 24

Cell: 3.909 3.909 17.983 Å, 90.00 90.00 90.00°
Space group P4/nmm (No. 129, origin choice 2)
Inequivalent atoms, fractional coordinates:
U (0.250, 0.250, 0.070) (multiplicity 2)
U (0.250, 0.250, 0.626) (multiplicity 2)
Cu (0.250, 0.750, 0.231) (multiplicity 4)
As (0.250, 0.250, 0.323) (multiplicity 2)
As (0.250, 0.250, 0.851) (multiplicity 2)
As (0.250, 0.750, 0.500) (multiplicity 2)
O (0.250, 0.750, 0.000) (multiplicity 2)

[5]
Diffraction record for CaH16O10. The PXRD pattern is simulated, not measured: it uses a structure optimized by DFT (PBE) and CuKα.
Kinematic intensities with the Lorentz-polarization factor, no thermal factor.

The 10 most intense peaks (2θ = 10–90°), by angle:
16.38 deg, d 5.411, intensity 95
25.76 deg, d 3.459, intensity 36
25.95 deg, d 3.434, intensity 46
26.73 deg, d 3.335, intensity 44
32.80 deg, d 2.731, intensity 65
33.08 deg, d 2.708, intensity 100
33.35 deg, d 2.686, intensity 65
33.75 deg, d 2.656, intensity 38
39.94 deg, d 2.257, intensity 43
46.40 deg, d 1.957, intensity 41

Cell: 6.208 6.350 10.837 Å, 92.33 91.68 90.81°
Space group P1 (No. 1)
Inequivalent atoms, fractional coordinates:
Ca (0.000, 0.000, 0.000) (multiplicity 1)
Ca (0.014, 0.035, 0.484) (multiplicity 1)
H (0.018, 0.545, 0.379) (multiplicity 1)
H (0.029, 0.429, 0.891) (multiplicity 1)
H (0.033, 0.493, 0.628) (multiplicity 1)
H (0.121, 0.704, 0.226) (multiplicity 1)
H (0.128, 0.330, 0.723) (multiplicity 1)
H (0.261, 0.630, 0.398) (multiplicity 1)
H (0.261, 0.641, 0.109) (multiplicity 1)
H (0.279, 0.374, 0.894) (multiplicity 1)
H (0.291, 0.911, 0.777) (multiplicity 1)
H (0.309, 0.139, 0.225) (multiplicity 1)
H (0.344, 0.805, 0.597) (multiplicity 1)
H (0.353, 0.452, 0.591) (multiplicity 1)
H (0.354, 0.274, 0.105) (multiplicity 1)
H (0.363, 0.749, 0.885) (multiplicity 1)
H (0.396, 0.281, 0.394) (multiplicity 1)
H (0.466, 0.037, 0.383) (multiplicity 1)
H (0.508, 0.047, 0.622) (multiplicity 1)
H (0.552, 0.991, 0.119) (multiplicity 1)
H (0.557, 0.031, 0.884) (multiplicity 1)
H (0.623, 0.730, 0.394) (multiplicity 1)
H (0.623, 0.755, 0.095) (multiplicity 1)
H (0.645, 0.269, 0.602) (multiplicity 1)
H (0.647, 0.426, 0.072) (multiplicity 1)
H (0.699, 0.871, 0.283) (multiplicity 1)
H (0.701, 0.136, 0.787) (multiplicity 1)
H (0.709, 0.657, 0.612) (multiplicity 1)
H (0.720, 0.592, 0.894) (multiplicity 1)
H (0.754, 0.368, 0.390) (multiplicity 1)
H (0.796, 0.876, 0.663) (multiplicity 1)
H (0.873, 0.314, 0.229) (multiplicity 1)
H (0.883, 0.671, 0.796) (multiplicity 1)
H (0.961, 0.452, 0.121) (multiplicity 1)
O (0.112, 0.683, 0.378) (multiplicity 1)
O (0.120, 0.695, 0.132) (multiplicity 1)
O (0.125, 0.369, 0.633) (multiplicity 1)
O (0.129, 0.307, 0.878) (multiplicity 1)
O (0.301, 0.892, 0.870) (multiplicity 1)
O (0.310, 0.948, 0.627) (multiplicity 1)
O (0.314, 0.132, 0.131) (multiplicity 1)
O (0.338, 0.131, 0.372) (multiplicity 1)
O (0.484, 0.523, 0.919) (multiplicity 1)
O (0.488, 0.508, 0.429) (multiplicity 1)
O (0.501, 0.506, 0.566) (multiplicity 1)
O (0.510, 0.512, 0.055) (multiplicity 1)
O (0.673, 0.122, 0.625) (multiplicity 1)
O (0.680, 0.897, 0.124) (multiplicity 1)
O (0.683, 0.873, 0.375) (multiplicity 1)
O (0.702, 0.094, 0.874) (multiplicity 1)
O (0.845, 0.733, 0.640) (multiplicity 1)
O (0.865, 0.328, 0.131) (multiplicity 1)
O (0.877, 0.642, 0.885) (multiplicity 1)
O (0.899, 0.324, 0.368) (multiplicity 1)

[6]
Diffraction record for Ni6Ge2P. The PXRD pattern is simulated, not measured: it uses a structure optimized by DFT (PBE) and CuKα.
Kinematic intensities with the Lorentz-polarization factor, no thermal factor.

The 10 most intense peaks (2θ = 10–90°), by angle:
40.65 deg, d 2.220, intensity 100
44.19 deg, d 2.050, intensity 53
44.91 deg, d 2.019, intensity 42
51.32 deg, d 1.780, intensity 36
53.70 deg, d 1.707, intensity 25
57.65 deg, d 1.599, intensity 19
75.91 deg, d 1.253, intensity 16
80.79 deg, d 1.190, intensity 18
84.73 deg, d 1.144, intensity 20
89.51 deg, d 1.095, intensity 11

Cell: 6.1667 6.1667 3.1980 Å, 90.00 90.00 120.00°
Space group P-62m (No. 189)
Inequivalent atoms, fractional coordinates:
Ni (0.0000, 0.3887, 0.0000) (multiplicity 3)
Ni (0.0000, 0.7481, 0.5000) (multiplicity 3)
Ge (0.3333, 0.6667, 0.5000) (multiplicity 2)
P (0.0000, 0.0000, 0.0000) (multiplicity 1)